This entry pairs a crystal structure of RbCuF3 with its computed XRD peak list. Radiation: a wavelength of 1.5418 Å. Structure: a DFT-relaxed cell (GGA-PBE, Alexandria).
Lines closer than 0.1° are merged.

Atomic structure:
abc: 5.8780 5.8780 5.8780
angles: 117.71 117.71 94.01
Positions (direct):
1 Rb 0.2500 0.2500 0.0000
2 Rb 0.7500 0.7500 0.0000
3 Cu 0.0000 0.5000 0.5000
4 Cu 0.5000 0.0000 0.5000
5 F 0.2213 0.7213 0.9425
6 F 0.2500 0.7500 0.5000
7 F 0.2787 0.2213 0.5000
8 F 0.7213 0.7787 0.5000
9 F 0.7500 0.2500 0.5000
10 F 0.7787 0.2787 0.0575

Peak list (12 most intense, 2θ from 5° to 70°, sorted by position)
- 2θ 29.38, rel. 56
- 2θ 30.49, rel. 100
- 2θ 34.84, rel. 1
- 2θ 37.12, rel. 17
- 2θ 42.03, rel. 47
- 2θ 45.25, rel. 20
- 2θ 52.81, rel. 39
- 2θ 54.87, rel. 19
- 2θ 60.95, rel. 13
- 2θ 63.46, rel. 25
- 2θ 69.09, rel. 10
- 2θ 69.68, rel. 10